This entry pairs a crystal structure of Re2Ag2W with its computed powder X-ray diffraction pattern. Radiation: Cu Kα (λ = 1.5418 Å). Structure: the GGA-PBE geometry in Alexandria.
No peak broadening, texture or thermal motion is included.

Most intense lines, 15° ≤ 2θ ≤ 90°, low angle first:
2θ 32.4, I 32, hkl 2 2 0; 2θ 36.3, I 87, hkl 3 1 0; 2θ 40.4, I 60, hkl 2 0 1; 2θ 41.6, I 17, hkl 3 2 0; 2θ 42.1, I 100, hkl 2 1 1; 2θ 47.9, I 24, hkl 4 1 0; 2θ 59.4, I 20, hkl 4 1 1; 2θ 60.7, I 20, hkl 3 3 1; 2θ 70.5, I 24, hkl 5 1 1; 2θ 80.8, I 17, hkl 3 1 2

Crystal structure
a = 7.824 Å, b = 7.824 Å, c = 2.715 Å
α = 90.00°, β = 90.00°, γ = 90.00°
Fractional coordinates of all 10 atoms:
1 Re 0.179 0.321 0.000
2 Re 0.321 0.821 0.000
3 Re 0.679 0.179 0.000
4 Re 0.821 0.679 0.000
5 Ag 0.120 0.620 0.500
6 Ag 0.380 0.120 0.500
7 Ag 0.620 0.880 0.500
8 Ag 0.880 0.380 0.500
9 W 0.000 0.000 0.500
10 W 0.500 0.500 0.500